# KMn2Cu2O6
Computed powder diffractogram, a wavelength of 1.5418 Å. Input: DFT lattice parameters and positions (GGA+U).
No peak broadening, texture or thermal motion is included.

Structural model:
a b c (Å): 5.2802 5.9911 6.4472
angles (deg): 106.17 90.72 115.02
Space group P-1 (No. 2)
Symmetry-distinct sites (fractional):
K (0.0000, 0.0000, 0.0000) [1 per cell]
Mn (0.4174, 0.6545, 0.1825) [2 per cell]
Cu (0.2614, 0.6502, 0.6485) [2 per cell]
O (0.1729, 0.4688, 0.3422) [2 per cell]
O (0.3256, 0.5017, 0.8597) [2 per cell]
O (0.4628, 0.0061, 0.7724) [2 per cell]

Main lines, low angle first (10° ≤ 2θ ≤ 80°):
2θ (°)  I_rel  index
17.2  100  0 1 0
18.7  67  1 0 0
22.3  76  1 -1 1
30.8  60  1 1 0
31.3  56  1 -2 0
32.4  68  1 0 -2
34.0  63  2 -1 0
38.6  53  0 1 2